Entry 1:
Ir9RuRh2: computed X-ray diffraction stick pattern (Cu Kα (λ = 1.5418 Å)), based on a DFT-relaxed cell (PBE, Alexandria).

Structural model:
Unit cell a=3.860 b=3.860 c=11.593 alpha=90.00 beta=90.00 gamma=90.00
Space group P4/mmm (No. 123)
Inequivalent atoms, fractional coordinates:
1 Ir 0.000 0.000 0.000 [1 per cell]
2 Ir 0.000 0.000 0.332 [2 per cell]
3 Ir 0.000 0.500 0.165 [4 per cell]
4 Ir 0.000 0.500 0.500 [2 per cell]
5 Ru 0.500 0.500 0.000 [1 per cell]
6 Rh 0.500 0.500 0.335 [2 per cell]

Peak list (10 most intense, 2θ = 15–90°, most intense first)
d [Å], I_rel
2.230, 100
1.931, 49
1.164, 39
1.365, 32
1.115, 11
3.862, 5
2.731, 4
1.727, 2
1.577, 2
1.287, 1

=====

Entry 2:
Pu2P3Rh5: computed X-ray diffraction stick pattern (Cu Kα (λ = 1.5418 Å)), based on a DFT-relaxed cell (PBE, Alexandria).

Structural model:
Unit cell a=3.965 b=25.784 c=6.389 alpha=90.00 beta=90.00 gamma=90.00
Space group Cmc2_1 (No. 36)
Inequivalent atoms, fractional coordinates:
1 Pu 0.000 0.017 0.000 [4 per cell]
2 Pu 0.000 0.322 0.042 [4 per cell]
3 P 0.000 0.109 0.769 [4 per cell]
4 P 0.000 0.288 0.603 [4 per cell]
5 P 0.000 0.447 0.789 [4 per cell]
6 Rh 0.000 0.098 0.376 [4 per cell]
7 Rh 0.000 0.192 0.910 [4 per cell]
8 Rh 0.000 0.235 0.297 [4 per cell]
9 Rh 0.000 0.380 0.546 [4 per cell]
10 Rh 0.000 0.435 0.160 [4 per cell]

Peak list (10 most intense, 2θ = 15–90°, most intense first)
d [Å], I_rel
2.390, 100
2.486, 95
1.983, 33
2.564, 33
3.601, 28
2.476, 24
2.322, 22
3.341, 20
1.526, 17
2.022, 16

=====

Entry 3:
MnCdAg: computed X-ray diffraction stick pattern (Cu Kα (λ = 1.5418 Å)), based on a DFT-relaxed cell (PBE, Alexandria).

Structural model:
Unit cell a=3.021 b=4.032 c=8.836 alpha=90.00 beta=90.00 gamma=90.00
Space group Imm2 (No. 44)
Inequivalent atoms, fractional coordinates:
1 Mn 0.000 0.000 0.000 [2 per cell]
2 Cd 0.000 0.000 0.333 [2 per cell]
3 Ag 0.000 0.000 0.661 [2 per cell]

Peak list (10 most intense, 2θ = 15–90°, most intense first)
d [Å], I_rel
2.418, 100
2.378, 95
2.109, 66
1.457, 38
2.016, 29
1.275, 24
1.258, 22
3.668, 14
1.510, 11
1.228, 10

=====

Entry 4:
Nd6BiSe4: computed X-ray diffraction stick pattern (Cu Kα (λ = 1.5418 Å)), based on a DFT-relaxed cell (PBE, Alexandria).

Structural model:
Unit cell a=4.269 b=13.803 c=21.644 alpha=90.00 beta=90.00 gamma=90.00
Space group Cmcm (No. 63)
Inequivalent atoms, fractional coordinates:
1 Nd 0.000 0.000 0.000 [4 per cell]
2 Nd 0.000 0.155 0.250 [4 per cell]
3 Nd 0.000 0.273 0.591 [8 per cell]
4 Nd 0.000 0.451 0.161 [8 per cell]
5 Bi 0.000 0.170 0.750 [4 per cell]
6 Se 0.000 0.087 0.123 [8 per cell]
7 Se 0.000 0.359 0.037 [8 per cell]

Peak list (10 most intense, 2θ = 15–90°, most intense first)
d [Å], I_rel
3.006, 100
3.197, 67
2.133, 57
3.097, 51
2.254, 27
2.871, 26
2.117, 25
1.775, 25
3.257, 23
2.704, 21

=====

Entry 5:
DyZnAu3: computed X-ray diffraction stick pattern (Cu Kα (λ = 1.5418 Å)), based on a DFT-relaxed cell (PBE, Alexandria).

Structural model:
Unit cell a=8.706 b=4.389 c=10.589 alpha=90.00 beta=90.00 gamma=90.00
Space group Pnma (No. 62)
Inequivalent atoms, fractional coordinates:
1 Dy 0.200 0.250 0.000 [4 per cell]
2 Zn 0.114 0.250 0.348 [4 per cell]
3 Au 0.059 0.250 0.591 [4 per cell]
4 Au 0.089 0.750 0.833 [4 per cell]
5 Au 0.146 0.750 0.196 [4 per cell]

Peak list (10 most intense, 2θ = 15–90°, most intense first)
d [Å], I_rel
2.623, 100
2.669, 71
2.360, 61
2.194, 58
3.150, 28
2.058, 23
2.799, 19
1.501, 17
1.996, 15
2.132, 14

=====

Entry 6:
SiO2: computed X-ray diffraction stick pattern (Cu Kα (λ = 1.5418 Å)), based on a DFT-relaxed cell (PBE, Alexandria).

Structural model:
Unit cell a=5.135 b=7.116 c=5.086 alpha=90.00 beta=90.00 gamma=90.00
Space group Pna2_1 (No. 33)
Inequivalent atoms, fractional coordinates:
1 Si 0.037 0.125 0.000 [4 per cell]
2 O 0.012 0.050 0.301 [4 per cell]
3 O 0.172 0.707 0.450 [4 per cell]

Peak list (10 most intense, 2θ = 15–90°, most intense first)
d [Å], I_rel
4.138, 100
4.164, 99
2.535, 23
2.543, 13
2.568, 12
1.649, 11
1.467, 8
2.925, 7
1.215, 6
1.643, 6

=====

Entry 7:
Ac4TbTe5: computed X-ray diffraction stick pattern (Cu Kα (λ = 1.5418 Å)), based on a DFT-relaxed cell (PBE, Alexandria).

Structural model:
Unit cell a=4.6363 b=4.6363 c=57.6349 alpha=90.00 beta=90.00 gamma=120.00
Space group R-3m (No. 166, hexagonal axes)
Inequivalent atoms, fractional coordinates:
1 Ac 0.0000 0.0000 0.1037 [6 per cell]
2 Ac 0.0000 0.0000 0.2988 [6 per cell]
3 Tb 0.0000 0.0000 0.5000 [3 per cell]
4 Te 0.0000 0.0000 0.0000 [3 per cell]
5 Te 0.0000 0.0000 0.1950 [6 per cell]
6 Te 0.0000 0.0000 0.4026 [6 per cell]

Peak list (10 most intense, 2θ = 15–90°, most intense first)
d [Å], I_rel
3.295, 100
2.318, 40
2.341, 36
1.896, 21
1.468, 19
1.479, 14
1.343, 12
1.647, 12
3.792, 9
1.093, 8

=====

Entry 8:
Cd2Ga2SnAu7: computed X-ray diffraction stick pattern (Cu Kα (λ = 1.5418 Å)), based on a DFT-relaxed cell (PBE, Alexandria).

Structural model:
Unit cell a=5.632 b=5.985 c=15.483 alpha=90.00 beta=95.61 gamma=90.00
Space group C2/m (No. 12)
Inequivalent atoms, fractional coordinates:
1 Cd 0.104 0.000 0.407 [4 per cell]
2 Ga 0.106 0.500 0.262 [4 per cell]
3 Sn 0.000 0.000 0.000 [2 per cell]
4 Au 0.000 0.500 0.000 [2 per cell]
5 Au 0.109 0.500 0.422 [4 per cell]
6 Au 0.183 0.253 0.846 [8 per cell]

Peak list (10 most intense, 2θ = 15–90°, most intense first)
d [Å], I_rel
2.046, 100
2.555, 89
2.586, 79
2.201, 52
2.789, 46
2.568, 45
2.937, 42
3.082, 41
1.949, 40
2.182, 38

=====

Entry 9:
ErThCd4: computed X-ray diffraction stick pattern (Cu Kα (λ = 1.5418 Å)), based on a DFT-relaxed cell (PBE, Alexandria).

Structural model:
Unit cell a=3.395 b=5.031 c=8.757 alpha=90.00 beta=90.06 gamma=90.00
Space group P2/m (No. 10)
Inequivalent atoms, fractional coordinates:
1 Er 0.000 0.000 0.000 [1 per cell]
2 Th 0.000 0.500 0.500 [1 per cell]
3 Cd 0.498 0.000 0.326 [2 per cell]
4 Cd 0.500 0.500 0.161 [2 per cell]

Peak list (10 most intense, 2θ = 15–90°, most intense first)
d [Å], I_rel
2.680, 100
2.525, 53
2.515, 26
1.835, 22
1.409, 17
1.487, 16
4.368, 11
1.482, 11
1.840, 11
1.454, 9

=====

Entry 10:
Tb2Dy2ErTm: computed X-ray diffraction stick pattern (Cu Kα (λ = 1.5418 Å)), based on a DFT-relaxed cell (PBE, Alexandria).

Structural model:
Unit cell a=6.938 b=5.572 c=9.605 alpha=90.00 beta=90.00 gamma=90.00
Space group Pmma (No. 51)
Inequivalent atoms, fractional coordinates:
1 Tb 0.250 0.000 0.158 [2 per cell]
2 Tb 0.250 0.500 0.674 [2 per cell]
3 Dy 0.000 0.500 0.000 [2 per cell]
4 Dy 0.250 0.000 0.823 [2 per cell]
5 Er 0.000 0.000 0.500 [2 per cell]
6 Tm 0.250 0.500 0.341 [2 per cell]

Peak list (10 most intense, 2θ = 15–90°, most intense first)
d [Å], I_rel
2.815, 100
2.776, 71
2.786, 36
1.472, 31
1.610, 25
1.979, 24
1.607, 14
1.614, 13
1.974, 12
2.169, 11

=====

Question: Which formula does entry 2 have?
Answer: Pu2P3Rh5